Li4Ti3V2Sn3O16: simulated XRD peak list (Cu Kα), based on a cell relaxed with GGA+U.
Neutral-atom scattering factors, no anomalous dispersion.

Main lines, low angle first (10 to 80 degrees two-theta):
Position (°2θ)  I_rel
17.9  100
18.9  33
19.0  59
24.6  31
34.4  32
34.9  40
35.0  26
43.8  36
58.2  23
60.2  26

```
data_Li4Ti3V2Sn3O16
_space_group_name_H-M_alt 'P 1'
_space_group_IT_number 1
_space_group_name_Hall 'P 1'
_cell_length_a 6.1504
_cell_length_b 6.1504
_cell_length_c 9.9147
_cell_angle_alpha 90.40
_cell_angle_beta 90.40
_cell_angle_gamma 59.71
loop_
_atom_site_label
_atom_site_type_symbol
_atom_site_fract_x
_atom_site_fract_y
_atom_site_fract_z
Li1 Li 0.0000 0.0000 0.0000
Li2 Li 0.0050 0.0050 0.4947
Li3 Li 0.3229 0.3229 0.3852
Li4 Li 0.6557 0.6557 0.8915
Ti1 Ti 0.1594 0.1594 0.7176
Ti2 Ti 0.3295 0.8235 0.2142
Ti3 Ti 0.8235 0.3295 0.2142
V1 V 0.3221 0.3221 0.9897
V2 V 0.6553 0.6553 0.4834
Sn1 Sn 0.1596 0.6537 0.7115
Sn2 Sn 0.6537 0.1596 0.7115
Sn3 Sn 0.8233 0.8233 0.2112
O1 O 0.0252 0.4661 0.8324
O2 O 0.1505 0.1505 0.1102
O3 O 0.1593 0.6790 0.1027
O4 O 0.3104 0.8442 0.6056
O5 O 0.3171 0.3171 0.5973
O6 O 0.4661 0.0252 0.8324
O7 O 0.4731 0.4731 0.8375
O8 O 0.5013 0.9560 0.3301
O9 O 0.5114 0.5114 0.3253
O10 O 0.6500 0.6500 0.1018
O11 O 0.6790 0.1593 0.1027
O12 O 0.8372 0.8372 0.5930
O13 O 0.8442 0.3104 0.6056
O14 O 0.9560 0.5013 0.3301
O15 O 0.9969 0.9969 0.8179
O16 O 0.9986 0.9986 0.3128
```